(1)
PrErFe2Ge2C: simulated powder diffractogram (Cu Kα), based on a crystal structure in OQMD, relaxed with PBE.
Lines closer than 0.1° are merged.

Cell lengths 10.8100, 4.0162, 6.9399 Å; angles 90.00, 129.01, 90.00 degrees
Sites, in units of the cell vectors:
Pr 0.0000 0.0000 0.0000
Pr 0.5000 0.5000 0.0000
Er 0.1154 0.0000 0.5809
Er 0.6154 0.5000 0.5809
Fe 0.2567 0.5000 0.3868
Fe 0.3683 0.0000 0.2126
Fe 0.7567 0.0000 0.3868
Fe 0.8683 0.5000 0.2126
Ge 0.2261 0.5000 0.0118
Ge 0.3943 0.0000 0.5767
Ge 0.7261 0.0000 0.0118
Ge 0.8943 0.5000 0.5767
C 0.0651 0.5000 0.3096
C 0.5651 0.0000 0.3096

Peak list (8 most intense, 15 to 90 degrees two-theta, sorted by position)
| h k l | 2θ (°) | d_spacing | I (rel.) |
| --- | --- | --- | --- |
| 0 0 2 | 33.28 | 2.692 | 96 |
| 3 1 -1 | 33.60 | 2.667 | 65 |
| 4 0 -1 | 34.74 | 2.582 | 49 |
| 1 1 -2 | 35.71 | 2.515 | 100 |
| 3 1 -2 | 35.96 | 2.497 | 54 |
| 3 1 0 | 39.22 | 2.297 | 68 |
| 4 0 -3 | 40.62 | 2.221 | 42 |
| 0 2 0 | 45.15 | 2.008 | 52 |


(2)
YErFe2Si2C: simulated powder diffractogram (Cu Kα), based on a crystal structure in OQMD, relaxed with PBE.
Lines closer than 0.1° are merged.

Cell lengths 10.5421, 3.9146, 6.7091 Å; angles 90.00, 129.47, 90.00 degrees
Sites, in units of the cell vectors:
Y 0.0000 0.0000 0.0000
Y 0.5000 0.5000 0.0000
Er 0.1184 0.0000 0.5875
Er 0.6184 0.5000 0.5875
Fe 0.2616 0.5000 0.3914
Fe 0.3591 0.0000 0.1996
Fe 0.7616 0.0000 0.3914
Fe 0.8591 0.5000 0.1996
Si 0.2215 0.5000 0.0100
Si 0.3982 0.0000 0.5788
Si 0.7215 0.0000 0.0100
Si 0.8982 0.5000 0.5788
C 0.0612 0.5000 0.2984
C 0.5612 0.0000 0.2984

Peak list (8 most intense, 15 to 90 degrees two-theta, sorted by position)
| h k l | 2θ (°) | d_spacing | I (rel.) |
| --- | --- | --- | --- |
| 1 1 0 | 25.25 | 3.528 | 41 |
| 3 1 -1 | 34.49 | 2.600 | 84 |
| 4 0 -2 | 34.66 | 2.588 | 34 |
| 4 0 -1 | 35.70 | 2.515 | 47 |
| 1 1 -2 | 36.97 | 2.431 | 100 |
| 3 1 0 | 40.46 | 2.230 | 31 |
| 0 2 0 | 46.39 | 1.957 | 29 |
| 7 1 -3 | 66.57 | 1.405 | 29 |


(3)
Er4GaPbC2: simulated powder diffractogram (Cu Kα), based on a crystal structure in OQMD, relaxed with PBE.
Lines closer than 0.1° are merged.

Cell lengths 3.5705, 3.5705, 15.6995 Å; angles 90.00, 90.00, 120.00 degrees
Sites, in units of the cell vectors:
Er 0.0000 0.0000 0.1550
Er 0.0000 0.0000 0.8450
Er 0.3333 0.6667 0.3249
Er 0.3333 0.6667 0.6751
Ga 0.3333 0.6667 0.0000
Pb 0.0000 0.0000 0.5000
C 0.6667 0.3333 0.2439
C 0.6667 0.3333 0.7561

Peak list (8 most intense, 15 to 90 degrees two-theta, sorted by position)
| h k l | 2θ (°) | d_spacing | I (rel.) |
| --- | --- | --- | --- |
| 1 0 0 | 28.87 | 3.092 | 24 |
| 1 0 3 | 33.67 | 2.662 | 100 |
| 0 0 6 | 34.27 | 2.617 | 19 |
| 1 0 6 | 45.41 | 1.997 | 15 |
| 1 1 0 | 51.17 | 1.785 | 22 |
| 2 0 3 | 62.66 | 1.483 | 17 |
| 1 1 6 | 63.04 | 1.475 | 20 |
| 2 1 3 | 85.05 | 1.141 | 15 |


> Number 1 is which compound?

PrErFe2Ge2C